(1)
Structure and computed XRD peak list of BaTi2Zn2O7 (a DFT-relaxed cell (GGA-PBE, Alexandria); Cu Kα (λ = 1.5418 Å)).

Structural model:
```
BaTi2Zn2O7
1.0
-1.905 8.111 2.576
1.905 -8.111 2.576
1.905 8.111 -2.576
Ba Ti Zn O
1 2 2 7
Direct
0.000 0.000 0.000
0.372 0.986 0.386
0.599 0.986 0.614
0.202 0.468 0.734
0.735 0.468 0.266
0.130 0.861 0.269
0.289 0.408 0.881
0.378 0.878 0.500
0.526 0.408 0.119
0.592 0.861 0.731
0.721 0.335 0.386
0.949 0.335 0.614
```

Main lines, in order of rising 2θ (2θ = 10–90°):
| Position (°2θ) | I_rel |
| --- | --- |
| 21.92 | 18 |
| 23.86 | 29 |
| 28.67 | 41 |
| 31.21 | 100 |
| 32.62 | 45 |
| 34.83 | 40 |
| 44.70 | 44 |
| 45.71 | 19 |
| 47.75 | 23 |
| 59.03 | 17 |

(2)
Structure and computed XRD peak list of Fe2Ni3Pt5 (a DFT-relaxed cell (GGA-PBE, Alexandria); Cu Kα (λ = 1.5418 Å)).

Structural model:
```
Fe2Ni3Pt5
1.0
4.275 -1.864 0.000
4.275 1.864 0.000
-0.069 0.000 8.626
Fe Ni Pt
2 3 5
Direct
0.200 0.200 0.398
0.800 0.800 0.602
0.000 0.000 0.000
0.106 0.106 0.690
0.894 0.894 0.310
0.306 0.306 0.104
0.400 0.400 0.791
0.500 0.500 0.500
0.600 0.600 0.209
0.694 0.694 0.896
```

Main lines, in order of rising 2θ (2θ = 10–90°):
| Position (°2θ) | I_rel |
| --- | --- |
| 10.25 | 14 |
| 23.30 | 20 |
| 26.07 | 37 |
| 40.95 | 100 |
| 41.29 | 98 |
| 47.34 | 65 |
| 48.85 | 30 |
| 70.39 | 41 |
| 83.43 | 24 |
| 84.09 | 24 |